# 1
Diffraction record for HoPuP. The XRD peak list is simulated, not measured: it uses a crystal structure in Alexandria, relaxed with PBE and Cu Kα (weighted mean of Kα1 and Kα2).
Peak positions follow from Bragg's law for the DFT cell and can differ from measured ones.

Largest 10 diffraction maxima, low angle first, 10° ≤ 2θ ≤ 80°:
d = 3.266 Å, intensity 41, hkl 0 0 2
d = 2.921 Å, intensity 100, hkl 1 0 1
d = 2.309 Å, intensity 25, hkl 0 1 2
d = 1.886 Å, intensity 22, hkl 1 1 0
d = 1.811 Å, intensity 26, hkl 1 0 3
d = 1.633 Å, intensity 27, hkl 0 0 4
d = 1.584 Å, intensity 17, hkl 0 2 1
d = 1.461 Å, intensity 10, hkl 2 0 2
d = 1.234 Å, intensity 13, hkl 1 1 4
d = 1.213 Å, intensity 21, hkl 1 0 5

Crystal structure
a = 3.7719 Å, b = 3.7719 Å, c = 6.5296 Å
α = 90.00°, β = 90.00°, γ = 120.00°
Space group P3m1 (No. 156)
Unique sites:
Ho 0.0000 0.0000 0.0000 x1
Pu 0.6667 0.3333 0.4835 x1
P 0.3333 0.6667 0.7450 x1

=====

# 2
Diffraction record for Pr2NdHoSb4. The XRD peak list is simulated, not measured: it uses a crystal structure in Alexandria, relaxed with PBE and Cu Kα (weighted mean of Kα1 and Kα2).
Peak positions follow from Bragg's law for the DFT cell and can differ from measured ones.

Largest 9 diffraction maxima, low angle first, 10° ≤ 2θ ≤ 80°:
d = 7.352 Å, intensity 1, hkl 1 0 0
d = 3.677 Å, intensity 2, hkl 2 0 0
d = 3.185 Å, intensity 100, hkl 1 1 1
d = 2.252 Å, intensity 76, hkl 0 2 0
d = 1.920 Å, intensity 1, hkl 3 1 1
d = 1.839 Å, intensity 27, hkl 2 2 -2
d = 1.592 Å, intensity 13, hkl 2 2 2
d = 1.424 Å, intensity 35, hkl 1 3 1
d = 1.300 Å, intensity 26, hkl 1 3 -3

Crystal structure
a = 7.798 Å, b = 4.507 Å, c = 7.798 Å
α = 90.00°, β = 109.49°, γ = 90.00°
Space group P2/m (No. 10)
Unique sites:
Pr 0.000 0.000 0.000 x1
Pr 0.000 0.500 0.500 x1
Nd 0.500 0.000 0.500 x1
Ho 0.500 0.500 0.000 x1
Sb 0.255 0.500 0.247 x2
Sb 0.259 0.000 0.757 x2

=====

# 3
Diffraction record for Tb2Pr2Tm5. The XRD peak list is simulated, not measured: it uses a crystal structure in Alexandria, relaxed with PBE and Cu Kα (weighted mean of Kα1 and Kα2).
Peak positions follow from Bragg's law for the DFT cell and can differ from measured ones.

Largest 10 diffraction maxima, low angle first, 10° ≤ 2θ ≤ 80°:
d = 3.143 Å, intensity 64, hkl 4 1 1
d = 2.936 Å, intensity 80, hkl 0 4 0
d = 2.916 Å, intensity 60, hkl 0 2 2
d = 2.893 Å, intensity 51, hkl 5 1 0
d = 2.713 Å, intensity 100, hkl 2 2 2
d = 2.507 Å, intensity 44, hkl 4 3 1
d = 2.374 Å, intensity 35, hkl 5 3 0
d = 2.269 Å, intensity 22, hkl 3 3 2
d = 1.649 Å, intensity 14, hkl 2 6 2
d = 1.572 Å, intensity 19, hkl 8 2 2

Crystal structure
a = 14.926 Å, b = 11.745 Å, c = 6.718 Å
α = 90.00°, β = 90.00°, γ = 90.00°
Space group Ima2 (No. 46)
Unique sites:
Tb 0.000 0.000 0.000 x4
Tb 0.250 0.013 0.897 x4
Pr 0.127 0.506 0.948 x8
Tm 0.054 0.741 0.299 x8
Tm 0.142 0.235 0.118 x8
Tm 0.250 0.749 0.096 x4

=====

# 4
Diffraction record for BeRuPt4. The XRD peak list is simulated, not measured: it uses a crystal structure in Alexandria, relaxed with PBE and Cu Kα (weighted mean of Kα1 and Kα2).
Peak positions follow from Bragg's law for the DFT cell and can differ from measured ones.

Largest 10 diffraction maxima, low angle first, 10° ≤ 2θ ≤ 80°:
d = 4.241 Å, intensity 81, hkl 1 1 1
d = 3.673 Å, intensity 4, hkl 2 0 0
d = 2.597 Å, intensity 4, hkl 2 2 0
d = 2.215 Å, intensity 100, hkl 3 1 1
d = 2.121 Å, intensity 81, hkl 2 2 2
d = 1.837 Å, intensity 29, hkl 4 0 0
d = 1.685 Å, intensity 20, hkl 3 3 1
d = 1.414 Å, intensity 32, hkl 5 1 1
d = 1.299 Å, intensity 32, hkl 4 4 0
d = 1.242 Å, intensity 15, hkl 5 3 1

Crystal structure
a = 7.346 Å, b = 7.346 Å, c = 7.346 Å
α = 90.00°, β = 90.00°, γ = 90.00°
Space group F-43m (No. 216)
Unique sites:
Be 0.000 0.000 0.000 x4
Ru 0.250 0.250 0.250 x4
Pt 0.125 0.125 0.625 x16

=====

# 5
Diffraction record for Tm2PuInO8. The XRD peak list is simulated, not measured: it uses a crystal structure in Alexandria, relaxed with PBE and Cu Kα (weighted mean of Kα1 and Kα2).
Peak positions follow from Bragg's law for the DFT cell and can differ from measured ones.

Largest 10 diffraction maxima, low angle first, 10° ≤ 2θ ≤ 80°:
d = 3.603 Å, intensity 57, hkl 0 2 0
d = 3.440 Å, intensity 49, hkl 2 0 0
d = 2.830 Å, intensity 100, hkl 1 1 2
d = 2.488 Å, intensity 31, hkl 2 2 0
d = 1.893 Å, intensity 40, hkl 1 3 2
d = 1.845 Å, intensity 35, hkl 3 1 2
d = 1.720 Å, intensity 17, hkl 0 0 4
d = 1.552 Å, intensity 19, hkl 0 2 4
d = 1.494 Å, intensity 21, hkl 3 3 2
d = 1.415 Å, intensity 12, hkl 2 2 4

Crystal structure
a = 6.880 Å, b = 7.206 Å, c = 6.881 Å
α = 90.00°, β = 90.00°, γ = 90.00°
Space group Cmmm (No. 65)
Unique sites:
Tm 0.000 0.000 0.242 x4
Pu 0.000 0.500 0.500 x2
In 0.000 0.500 0.000 x2
O 0.000 0.312 0.279 x8
O 0.201 0.000 0.000 x4
O 0.209 0.000 0.500 x4

=====

# 6
Diffraction record for LaSmTm4. The XRD peak list is simulated, not measured: it uses a crystal structure in Alexandria, relaxed with PBE and Cu Kα (weighted mean of Kα1 and Kα2).
Peak positions follow from Bragg's law for the DFT cell and can differ from measured ones.

Largest 10 diffraction maxima, low angle first, 10° ≤ 2θ ≤ 80°:
d = 3.204 Å, intensity 48, hkl 1 0 1
d = 2.925 Å, intensity 77, hkl 0 2 0
d = 2.875 Å, intensity 100, hkl 0 1 3
d = 2.522 Å, intensity 100, hkl 1 1 2
d = 2.159 Å, intensity 32, hkl 1 2 1
d = 1.710 Å, intensity 21, hkl 1 0 5
d = 1.678 Å, intensity 21, hkl 0 3 3
d = 1.599 Å, intensity 24, hkl 1 3 2
d = 1.476 Å, intensity 26, hkl 1 2 5
d = 1.459 Å, intensity 26, hkl 2 1 3

Crystal structure
a = 3.386 Å, b = 5.846 Å, c = 9.908 Å
α = 90.00°, β = 90.00°, γ = 90.00°
Space group Pmmm (No. 47)
Unique sites:
La 0.000 0.000 0.000 x1
Sm 0.500 0.500 0.500 x1
Tm 0.000 0.500 0.191 x2
Tm 0.500 0.000 0.317 x2